(1)
Structure and theoretical X-ray diffraction stick pattern of Er5Al3In (a crystal structure in Alexandria, relaxed with PBE; Cu Kα, 1.54184 Å).
Peak positions follow from Bragg's law for the DFT cell and can differ from measured ones.

Atomic structure:
Unit cell a=8.9883 b=8.9883 c=6.4464 alpha=90.00 beta=90.00 gamma=120.00
Space group P6_3/mcm (No. 193)
Symmetry-distinct sites (fractional):
Er1 0.0000 0.2992 0.2500
Er2 0.3333 0.6667 0.0000
Al1 0.0000 0.3658 0.7500
In1 0.0000 0.0000 0.0000

Top 10 peaks for 2θ from 10° to 80°, low angle first:
2θ = 19.75°, intensity 111
2θ = 24.14°, intensity 544
2θ = 33.48°, intensity 136
2θ = 34.24°, intensity 1000
2θ = 34.57°, intensity 841
2θ = 46.86°, intensity 95
2θ = 49.44°, intensity 329
2θ = 61.73°, intensity 286
2θ = 61.94°, intensity 114
2θ = 68.54°, intensity 230

(2)
Structure and theoretical X-ray diffraction stick pattern of Er7AlIn5 (a crystal structure in Alexandria, relaxed with PBE; Cu Kα, 1.54184 Å).
Peak positions follow from Bragg's law for the DFT cell and can differ from measured ones.

Atomic structure:
Unit cell a=6.2851 b=10.6280 c=10.7096 alpha=90.00 beta=90.00 gamma=90.00
Space group Imm2 (No. 44)
Symmetry-distinct sites (fractional):
Er1 0.0000 0.0000 0.0000
Er2 0.0000 0.0000 0.3915
Er3 0.0000 0.3119 0.5773
Er4 0.0000 0.3383 0.0634
Er5 0.0000 0.5000 0.3215
Al1 0.0000 0.0000 0.6849
In1 0.0000 0.5000 0.8076
In2 0.2431 0.2398 0.8237

Top 10 peaks for 2θ from 10° to 80°, low angle first:
2θ = 23.40°, intensity 160
2θ = 28.40°, intensity 177
2θ = 28.93°, intensity 242
2θ = 33.08°, intensity 440
2θ = 33.49°, intensity 1000
2θ = 37.24°, intensity 654
2θ = 37.48°, intensity 218
2θ = 37.80°, intensity 215
2θ = 53.62°, intensity 179
2θ = 59.91°, intensity 267

(3)
Structure and theoretical X-ray diffraction stick pattern of Er2AlInO6 (a crystal structure in Alexandria, relaxed with PBE; Cu Kα, 1.54184 Å).
Peak positions follow from Bragg's law for the DFT cell and can differ from measured ones.

Atomic structure:
Unit cell a=5.1957 b=5.1957 c=4.9802 alpha=90.00 beta=90.00 gamma=90.00
Space group P4mm (No. 99)
Symmetry-distinct sites (fractional):
Er1 0.0000 0.5000 0.0000
Al1 0.0000 0.0000 0.6063
In1 0.5000 0.5000 0.5713
O1 0.0000 0.0000 0.2454
O2 0.2369 0.2369 0.7451
O3 0.5000 0.5000 0.1615

Top 10 peaks for 2θ from 10° to 80°, low angle first:
2θ = 17.81°, intensity 249
2θ = 24.23°, intensity 94
2θ = 30.23°, intensity 1000
2θ = 34.53°, intensity 341
2θ = 39.11°, intensity 117
2θ = 43.93°, intensity 166
2θ = 49.63°, intensity 196
2θ = 50.79°, intensity 251
2θ = 59.22°, intensity 299
2θ = 61.27°, intensity 101

(4)
Structure and theoretical X-ray diffraction stick pattern of TbErAlIn (a crystal structure in Alexandria, relaxed with PBE; Cu Kα, 1.54184 Å).
Peak positions follow from Bragg's law for the DFT cell and can differ from measured ones.

Atomic structure:
Unit cell a=3.5976 b=3.5976 c=7.6761 alpha=90.00 beta=90.00 gamma=90.00
Space group P4mm (No. 99)
Symmetry-distinct sites (fractional):
Tb1 0.0000 0.0000 0.0000
Er1 0.0000 0.0000 0.4763
Al1 0.5000 0.5000 0.2420
In1 0.5000 0.5000 0.7337

Top 10 peaks for 2θ from 10° to 80°, low angle first:
2θ = 23.17°, intensity 94
2θ = 24.75°, intensity 167
2θ = 27.38°, intensity 107
2θ = 34.16°, intensity 1000
2θ = 35.28°, intensity 466
2θ = 47.37°, intensity 95
2θ = 50.75°, intensity 165
2θ = 60.43°, intensity 182
2θ = 62.61°, intensity 343
2θ = 71.95°, intensity 108

(5)
Structure and theoretical X-ray diffraction stick pattern of Er7Al2Ir2 (a crystal structure in Alexandria, relaxed with PBE; Cu Kα, 1.54184 Å).
Peak positions follow from Bragg's law for the DFT cell and can differ from measured ones.

Atomic structure:
Unit cell a=7.9877 b=10.6911 c=6.9309 alpha=90.00 beta=90.00 gamma=90.00
Space group Cmmm (No. 65)
Symmetry-distinct sites (fractional):
Er1 0.0000 0.0000 0.0000
Er2 0.0000 0.5000 0.2502
Er3 0.2500 0.2500 0.2563
Al1 0.1678 0.0000 0.5000
Ir1 0.0000 0.2884 0.0000

Top 10 peaks for 2θ from 10° to 80°, low angle first:
2θ = 12.77°, intensity 518
2θ = 16.58°, intensity 273
2θ = 25.74°, intensity 433
2θ = 27.89°, intensity 518
2θ = 29.31°, intensity 271
2θ = 33.53°, intensity 517
2θ = 34.26°, intensity 341
2θ = 37.93°, intensity 435
2θ = 38.29°, intensity 1000
2θ = 45.41°, intensity 304

(6)
Structure and theoretical X-ray diffraction stick pattern of LiEr3Al (a crystal structure in Alexandria, relaxed with PBE; Cu Kα, 1.54184 Å).
Peak positions follow from Bragg's law for the DFT cell and can differ from measured ones.

Atomic structure:
Unit cell a=5.0289 b=19.8995 c=5.0276 alpha=90.00 beta=90.00 gamma=90.00
Space group Cmcm (No. 63)
Symmetry-distinct sites (fractional):
Li1 0.0000 0.1582 0.2500
Er1 0.0000 0.0628 0.7500
Er2 0.0000 0.2496 0.7500
Er3 0.0000 0.4363 0.7500
Al1 0.0000 0.3411 0.2500

Top 10 peaks for 2θ from 10° to 80°, low angle first:
2θ = 25.45°, intensity 587
2θ = 26.88°, intensity 254
2θ = 33.81°, intensity 1000
2θ = 35.71°, intensity 484
2θ = 45.26°, intensity 252
2θ = 51.40°, intensity 172
2θ = 57.13°, intensity 179
2θ = 58.21°, intensity 122
2θ = 59.22°, intensity 140
2θ = 62.95°, intensity 335

(7)
Structure and theoretical X-ray diffraction stick pattern of LiErMnAl (a crystal structure in Alexandria, relaxed with PBE; Cu Kα, 1.54184 Å).
Peak positions follow from Bragg's law for the DFT cell and can differ from measured ones.

Atomic structure:
Unit cell a=6.6274 b=6.6274 c=6.6274 alpha=90.00 beta=90.00 gamma=90.00
Space group F-43m (No. 216)
Symmetry-distinct sites (fractional):
Li1 0.0000 0.0000 0.0000
Er1 0.2500 0.2500 0.7500
Mn1 0.0000 0.0000 0.5000
Al1 0.2500 0.2500 0.2500

Top 10 peaks for 2θ from 10° to 80°, low angle first:
2θ = 23.25°, intensity 820
2θ = 26.91°, intensity 339
2θ = 38.42°, intensity 1000
2θ = 45.39°, intensity 424
2θ = 47.53°, intensity 100
2θ = 55.46°, intensity 169
2θ = 60.93°, intensity 176
2θ = 62.69°, intensity 136
2θ = 69.48°, intensity 339
2θ = 74.38°, intensity 130

(8)
Structure and theoretical X-ray diffraction stick pattern of LiErAlZn6 (a crystal structure in Alexandria, relaxed with PBE; Cu Kα, 1.54184 Å).
Peak positions follow from Bragg's law for the DFT cell and can differ from measured ones.

Atomic structure:
Unit cell a=6.8582 b=8.9332 c=10.9880 alpha=90.00 beta=90.00 gamma=90.00
Space group Imma (No. 74)
Symmetry-distinct sites (fractional):
Li1 0.2500 0.2500 0.2500
Er1 0.0000 0.2500 0.6989
Al1 0.0000 0.0000 0.5000
Zn1 0.0000 0.2500 0.0152
Zn2 0.0000 0.2500 0.4200
Zn3 0.1847 0.0203 0.8704

Top 10 peaks for 2θ from 10° to 80°, low angle first:
2θ = 12.77°, intensity 797
2θ = 32.93°, intensity 1000
2θ = 34.25°, intensity 807
2θ = 36.67°, intensity 324
2θ = 37.31°, intensity 282
2θ = 38.47°, intensity 340
2θ = 40.36°, intensity 631
2θ = 42.15°, intensity 206
2θ = 46.87°, intensity 385
2θ = 63.55°, intensity 214